This entry pairs a crystal structure of Mo3W7 with its theoretical XRD peak list. Radiation: Cu Ka. Structure: a GGA-PBE-relaxed structure.
Intensities are scaled so that the largest is 100.

Structure:
abc: 8.550 8.550 5.316
angles: 90.00 90.00 120.00
Atoms (fractional coordinates):
Mo  0.208  0.416  0.250
Mo  0.208  0.792  0.250
Mo  0.416  0.208  0.750
Mo  0.584  0.792  0.250
Mo  0.792  0.208  0.750
Mo  0.792  0.584  0.750
W  0.000  0.500  0.000
W  0.000  0.500  0.500
W  0.119  0.237  0.750
W  0.119  0.881  0.750
W  0.237  0.119  0.250
W  0.333  0.667  0.750
W  0.500  0.000  0.000
W  0.500  0.000  0.500
W  0.500  0.500  0.000
W  0.500  0.500  0.500
W  0.667  0.333  0.250
W  0.763  0.881  0.750
W  0.881  0.119  0.250
W  0.881  0.763  0.250

Peak list (10 most intense, 10 to 90 degrees two-theta, low angle first)
| index | 2θ/deg | I/Imax |
| --- | --- | --- |
| 2 1 0 | 31.98 | 22 |
| 1 0 2 | 35.90 | 21 |
| 2 1 1 | 36.27 | 65 |
| 3 0 1 | 40.29 | 66 |
| 2 0 2 | 41.84 | 100 |
| 2 2 0 | 42.28 | 50 |
| 3 1 0 | 44.09 | 17 |
| 4 0 2 | 60.99 | 24 |
| 3 3 0 | 65.46 | 18 |
| 3 3 2 | 75.73 | 26 |